Entry 1:
Diffraction record for KSnHgAs. The powder diffraction line list is theoretical, not measured: it uses a crystal structure in Alexandria, relaxed with GGA-PBE and copper Kα.
Neutral-atom scattering factors, no anomalous dispersion.

Largest 10 diffraction maxima, by angle, 5° ≤ 2θ ≤ 70°:
- 14.90 deg, intensity 39, hkl 0 0 2
- 17.91 deg, intensity 49, hkl 0 1 1
- 23.36 deg, intensity 100, hkl 1 0 1
- 27.58 deg, intensity 34, hkl 1 1 0
- 27.84 deg, intensity 70, hkl 0 1 3
- 31.49 deg, intensity 35, hkl 1 1 2
- 31.71 deg, intensity 42, hkl 1 0 3
- 32.88 deg, intensity 53, hkl 0 2 0
- 40.73 deg, intensity 49, hkl 1 2 1
- 41.25 deg, intensity 82, hkl 1 1 4

Unit cell a=4.0189 b=5.4479 c=11.8892 alpha=90.00 beta=90.00 gamma=90.00
Space group Imm2 (No. 44)
Inequivalent atoms, fractional coordinates:
K (0.0000, 0.0000, 0.0000) x2
Sn (0.0000, 0.5000, 0.2214) x2
Hg (0.0000, 0.0000, 0.3266) x2
As (0.0000, 0.0000, 0.5740) x2

Entry 2:
Diffraction record for Li4Hg2As. The powder diffraction line list is theoretical, not measured: it uses a crystal structure in Alexandria, relaxed with GGA-PBE and copper Kα.
Neutral-atom scattering factors, no anomalous dispersion.

Largest 10 diffraction maxima, by angle, 5° ≤ 2θ ≤ 70°:
- 11.88 deg, intensity 43, hkl 0 0 2
- 23.88 deg, intensity 30, hkl 1 0 1
- 26.06 deg, intensity 54, hkl 1 0 2
- 29.35 deg, intensity 100, hkl 1 0 3
- 38.19 deg, intensity 49, hkl 1 0 5
- 40.60 deg, intensity 51, hkl 1 1 0
- 50.88 deg, intensity 22, hkl 2 0 3
- 55.48 deg, intensity 24, hkl 1 1 6
- 65.36 deg, intensity 19, hkl 1 1 8
- 67.03 deg, intensity 20, hkl 2 1 3

Unit cell a=4.4446 b=4.4446 c=14.9024 alpha=90.00 beta=90.00 gamma=120.00
Space group P6_3/mmc (No. 194)
Inequivalent atoms, fractional coordinates:
Li (0.0000, 0.0000, 0.0000) x2
Li (0.3333, 0.6667, 0.1607) x4
Li (0.3333, 0.6667, 0.7500) x2
Hg (0.3333, 0.6667, 0.5658) x4
As (0.0000, 0.0000, 0.2500) x2

Entry 3:
Diffraction record for LiHg2As. The powder diffraction line list is theoretical, not measured: it uses a crystal structure in Alexandria, relaxed with GGA-PBE and copper Kα.
Neutral-atom scattering factors, no anomalous dispersion.

Largest 10 diffraction maxima, by angle, 5° ≤ 2θ ≤ 70°:
- 20.68 deg, intensity 69, hkl 0 2 0
- 25.96 deg, intensity 40, hkl 0 0 1
- 31.21 deg, intensity 26, hkl 2 0 0
- 33.42 deg, intensity 100, hkl 0 2 1
- 37.73 deg, intensity 72, hkl 2 2 0
- 41.03 deg, intensity 57, hkl 2 0 1
- 42.06 deg, intensity 27, hkl 0 4 0
- 46.37 deg, intensity 36, hkl 2 2 1
- 60.21 deg, intensity 38, hkl 2 4 1
- 67.22 deg, intensity 27, hkl 2 2 2

Unit cell a=5.7318 b=8.5922 c=3.4322 alpha=90.00 beta=90.00 gamma=90.00
Space group Cmmm (No. 65)
Inequivalent atoms, fractional coordinates:
Li (0.0000, 0.0000, 0.0000) x2
Hg (0.2500, 0.2500, 0.5000) x4
As (0.0000, 0.5000, 0.0000) x2

Entry 4:
Diffraction record for Li8HgAs2. The powder diffraction line list is theoretical, not measured: it uses a crystal structure in Alexandria, relaxed with GGA-PBE and copper Kα.
Neutral-atom scattering factors, no anomalous dispersion.

Largest 10 diffraction maxima, by angle, 5° ≤ 2θ ≤ 70°:
- 14.42 deg, intensity 56, hkl 0 1 1
- 22.04 deg, intensity 21, hkl 1 0 1
- 24.17 deg, intensity 100, hkl 1 1 0
- 24.79 deg, intensity 46, hkl 0 2 0
- 25.72 deg, intensity 76, hkl 0 1 3
- 30.76 deg, intensity 45, hkl 1 0 3
- 39.00 deg, intensity 30, hkl 1 1 4
- 39.90 deg, intensity 62, hkl 1 2 3
- 43.28 deg, intensity 23, hkl 1 3 0
- 50.02 deg, intensity 25, hkl 2 1 3

Unit cell a=4.2893 b=7.1824 c=11.8612 alpha=90.00 beta=90.00 gamma=90.00
Space group Immm (No. 71)
Inequivalent atoms, fractional coordinates:
Li (0.0000, 0.0000, 0.1551) x4
Li (0.0000, 0.2048, 0.3361) x8
Li (0.0000, 0.3162, 0.0000) x4
Hg (0.0000, 0.5000, 0.5000) x2
As (0.0000, 0.5000, 0.1958) x4

Entry 5:
Diffraction record for NaLiHgAs. The powder diffraction line list is theoretical, not measured: it uses a crystal structure in Alexandria, relaxed with GGA-PBE and copper Kα.
Neutral-atom scattering factors, no anomalous dispersion.

Largest 9 diffraction maxima, by angle, 5° ≤ 2θ ≤ 70°:
- 22.40 deg, intensity 37, hkl 1 1 1
- 25.92 deg, intensity 81, hkl 2 0 0
- 36.98 deg, intensity 100, hkl 2 2 0
- 43.66 deg, intensity 21, hkl 3 1 1
- 45.71 deg, intensity 24, hkl 2 2 2
- 53.29 deg, intensity 17, hkl 4 0 0
- 58.51 deg, intensity 9, hkl 3 3 1
- 60.19 deg, intensity 32, hkl 4 2 0
- 66.63 deg, intensity 36, hkl 4 2 2

Unit cell a=6.8761 b=6.8761 c=6.8761 alpha=90.00 beta=90.00 gamma=90.00
Space group F-43m (No. 216)
Inequivalent atoms, fractional coordinates:
Na (0.0000, 0.0000, 0.0000) x4
Li (0.0000, 0.0000, 0.5000) x4
Hg (0.2500, 0.2500, 0.7500) x4
As (0.2500, 0.2500, 0.2500) x4

Entry 6:
Diffraction record for LiHg2AsO4. The powder diffraction line list is theoretical, not measured: it uses a crystal structure in Alexandria, relaxed with GGA-PBE and copper Kα.
Neutral-atom scattering factors, no anomalous dispersion.

Largest 10 diffraction maxima, by angle, 5° ≤ 2θ ≤ 70°:
- 19.38 deg, intensity 61, hkl 1 0 1
- 31.62 deg, intensity 100, hkl 1 1 2
- 32.50 deg, intensity 39, hkl 2 0 0
- 36.58 deg, intensity 18, hkl 1 0 3
- 38.12 deg, intensity 32, hkl 2 1 1
- 46.62 deg, intensity 18, hkl 2 2 0
- 49.72 deg, intensity 12, hkl 1 2 3
- 55.74 deg, intensity 23, hkl 2 0 4
- 57.42 deg, intensity 37, hkl 1 3 2
- 66.03 deg, intensity 12, hkl 2 2 4

Unit cell a=5.5103 b=5.5103 c=8.2341 alpha=90.00 beta=90.00 gamma=90.00
Space group I-4 (No. 82)
Inequivalent atoms, fractional coordinates:
Li (0.0000, 0.0000, 0.0000) x2
Hg (0.0000, 0.0000, 0.5000) x2
Hg (0.0000, 0.5000, 0.7500) x2
As (0.0000, 0.5000, 0.2500) x2
O (0.1512, 0.2972, 0.1238) x8